Diffraction record for HoAlCuPt2. The powder diffractogram is computed, not measured: it uses a crystal structure in Alexandria, relaxed with GGA-PBE and Cu Ka.

Crystal structure
```
data_HoAlCuPt2
_cell_length_a 3.7573
_cell_length_b 3.7573
_cell_length_c 12.6600
_cell_angle_alpha 90.00
_cell_angle_beta 90.00
_cell_angle_gamma 90.00
_space_group_name_H-M_alt 'I -4 m 2'
_space_group_IT_number 119
_space_group_name_Hall 'I -4 -2'
loop_
_atom_site_label
_atom_site_fract_x
_atom_site_fract_y
_atom_site_fract_z
_atom_site_occupancy
Ho1 0.0000 0.0000 0.0000 1
Al1 0.0000 0.5000 0.2500 1
Cu1 0.0000 0.5000 0.7500 1
Pt1 0.0000 0.0000 0.3915 1
```

Top 10 peaks for 2θ from 10° to 90°, low angle first:
h k l, 2θ (°), d/Å, intensity
0 0 2, 13.99, 6.330, 28
1 0 1, 24.72, 3.602, 30
1 0 3, 31.89, 2.806, 92
1 1 0, 33.74, 2.657, 69
1 1 2, 36.68, 2.450, 62
1 0 5, 43.08, 2.100, 100
1 1 4, 44.52, 2.035, 26
2 0 0, 48.45, 1.879, 51
2 1 3, 59.18, 1.561, 32
2 1 5, 66.82, 1.400, 55

Diffraction record for Pm5Al2Ga2. The powder diffractogram is computed, not measured: it uses a crystal structure in Alexandria, relaxed with GGA-PBE and Cu Ka.

Crystal structure
```
data_Pm5Al2Ga2
_cell_length_a 15.9838
_cell_length_b 8.1726
_cell_length_c 7.6672
_cell_angle_alpha 90.00
_cell_angle_beta 90.00
_cell_angle_gamma 90.00
_space_group_name_H-M_alt 'C m c e'
_space_group_IT_number 64
_space_group_name_Hall '-C 2ac 2'
loop_
_atom_site_label
_atom_site_fract_x
_atom_site_fract_y
_atom_site_fract_z
_atom_site_occupancy
Pm1 0.0000 0.0000 0.0000 1
Pm2 0.1434 0.1880 0.3271 1
Al1 0.0000 0.1203 0.6108 1
Ga1 0.2096 0.0000 0.0000 1
```

Top 10 peaks for 2θ from 10° to 90°, low angle first:
h k l, 2θ (°), d/Å, intensity
0 2 1, 24.69, 3.606, 48
1 1 2, 26.28, 3.392, 44
3 1 2, 30.74, 2.908, 100
4 2 0, 31.31, 2.857, 88
0 2 2, 32.01, 2.796, 65
4 0 2, 32.36, 2.766, 63
4 2 1, 33.47, 2.677, 53
1 3 1, 35.42, 2.535, 47
1 1 3, 37.29, 2.411, 35
3 3 3, 51.95, 1.760, 55

Diffraction record for CdHgF. The powder diffractogram is computed, not measured: it uses a crystal structure in Alexandria, relaxed with GGA-PBE and Cu Ka.

Crystal structure
```
data_CdHgF
_cell_length_a 3.9772
_cell_length_b 4.4064
_cell_length_c 14.2938
_cell_angle_alpha 90.00
_cell_angle_beta 90.00
_cell_angle_gamma 90.00
_space_group_name_H-M_alt 'I m m m'
_space_group_IT_number 71
_space_group_name_Hall '-I 2 2'
loop_
_atom_site_label
_atom_site_fract_x
_atom_site_fract_y
_atom_site_fract_z
_atom_site_occupancy
Cd1 0.0000 0.0000 0.1632 1
Hg1 0.0000 0.5000 0.0000 1
Hg2 0.0000 0.5000 0.5000 1
F1 0.0000 0.5000 0.2432 1
```

Top 10 peaks for 2θ from 10° to 90°, low angle first:
h k l, 2θ (°), d/Å, intensity
0 0 2, 12.38, 7.147, 66
0 0 4, 24.92, 3.573, 22
0 1 3, 27.57, 3.235, 18
1 1 2, 32.82, 2.729, 100
0 0 6, 37.76, 2.382, 28
1 1 4, 39.60, 2.276, 90
0 2 0, 40.96, 2.203, 28
2 0 0, 45.62, 1.989, 21
1 1 8, 60.57, 1.529, 21
1 3 4, 73.66, 1.286, 27